(1)
Starting from a crystal structure in Alexandria, relaxed with GGA-PBE, the X-ray diffraction stick pattern of Ce3CoAu2 was simulated for a wavelength of 1.5418 Å.

Peak list (10 most intense, 2θ = 10–90°, in order of rising 2θ)
2θ 31.6, I = 43, (0 2 1)
2θ 32.8, I = 33, (3 1 -2)
2θ 33.2, I = 100, (2 0 2)
2θ 33.5, I = 51, (4 0 -2)
2θ 36.1, I = 90, (2 2 1)
2θ 40.3, I = 28, (4 2 -1)
2θ 41.8, I = 23, (1 1 -3)
2θ 42.7, I = 37, (6 0 0)
2θ 50.9, I = 23, (6 2 -1)
2θ 71.1, I = 23, (8 2 1)

Crystal structure
abc: 13.1592 6.2451 6.9423
angles: 90.00 104.90 90.00
Space group C2/c (No. 15)
Symmetry-distinct sites (fractional):
Ce  0.0000  0.1465  0.2500 x4
Ce  0.1465  0.3864  0.6105 x8
Co  0.0000  0.3564  0.7500 x4
Au  0.1618  0.1192  0.0114 x8

---

(2)
Starting from a crystal structure in Alexandria, relaxed with GGA-PBE, the X-ray diffraction stick pattern of Ce2CoAu was simulated for a wavelength of 1.5418 Å.

Peak list (10 most intense, 2θ = 10–90°, in order of rising 2θ)
2θ 17.5, I = 22, (1 0 1)
2θ 27.9, I = 36, (1 0 2)
2θ 31.1, I = 53, (1 2 1)
2θ 35.5, I = 33, (2 0 2)
2θ 35.9, I = 100, (0 2 2)
2θ 38.1, I = 73, (1 2 2)
2θ 39.7, I = 35, (3 0 1)
2θ 39.9, I = 33, (1 0 3)
2θ 52.3, I = 18, (0 4 0)
2θ 60.9, I = 32, (3 2 3)

Crystal structure
abc: 7.1784 6.9993 7.1425
angles: 90.00 90.00 90.00
Space group Pnma (No. 62)
Symmetry-distinct sites (fractional):
Ce  0.1756  0.0018  0.1741 x8
Co  0.1204  0.2500  0.8872 x4
Au  0.0051  0.2500  0.4994 x4